Record 1
Computed powder diffraction line list
Compound: Na2Sb2Se5
Radiation: Cu Ka
Structure: a crystal structure in Alexandria, relaxed with GGA-PBE
Kinematic intensities with the Lorentz-polarization factor, no thermal factor.

The 12 most intense peaks (2θ from 15° to 90°), sorted by position:
16.3 deg, 5.433 Å, I 63, hkl 1 1 0
16.7 deg, 5.308 Å, I 44, hkl 2 0 -1
23.2 deg, 3.837 Å, I 64, hkl 4 0 0
30.3 deg, 2.949 Å, I 55, hkl 2 0 -2
30.8 deg, 2.904 Å, I 100, hkl 0 2 0
31.3 deg, 2.862 Å, I 38, hkl 0 0 2
35.1 deg, 2.558 Å, I 55, hkl 6 0 0
40.6 deg, 2.220 Å, I 29, hkl 6 0 -2
43.7 deg, 2.069 Å, I 40, hkl 2 2 -2
44.4 deg, 2.039 Å, I 28, hkl 0 2 2
47.4 deg, 1.920 Å, I 51, hkl 6 2 0
51.8 deg, 1.764 Å, I 28, hkl 6 2 -2

Cell: 15.9081 5.8088 5.9363 Å, 90.00 105.25 90.00°
Space group C2/m (No. 12)
Asymmetric unit:
Na1 0.1279 0.0000 0.3957
Sb1 0.1618 0.5000 0.9463
Se1 0.0000 0.5000 0.5000
Se2 0.1519 0.5000 0.3840
Se3 0.1588 0.0000 0.9083

Record 2
Computed powder diffraction line list
Compound: MgTi2I
Radiation: Cu Ka
Structure: a crystal structure in Alexandria, relaxed with GGA-PBE
Kinematic intensities with the Lorentz-polarization factor, no thermal factor.

The 12 most intense peaks (2θ from 15° to 90°), sorted by position:
22.2 deg, 4.006 Å, I 40, hkl 1 0 1
25.3 deg, 3.520 Å, I 29, hkl 1 0 3
30.6 deg, 2.917 Å, I 18, hkl 1 0 5
32.2 deg, 2.782 Å, I 100, hkl 1 1 2
34.4 deg, 2.606 Å, I 39, hkl 0 0 8
40.6 deg, 2.220 Å, I 52, hkl 1 1 6
47.9 deg, 1.901 Å, I 60, hkl 2 0 4
54.3 deg, 1.690 Å, I 21, hkl 1 1 10
71.3 deg, 1.323 Å, I 26, hkl 2 0 12
74.0 deg, 1.281 Å, I 16, hkl 3 1 2
75.3 deg, 1.263 Å, I 15, hkl 2 2 8
79.1 deg, 1.210 Å, I 14, hkl 3 1 6

Cell: 4.0824 4.0824 20.8486 Å, 90.00 90.00 90.00°
Space group I-42d (No. 122)
Asymmetric unit:
Mg1 0.0000 0.0000 0.0000
Ti1 0.2502 0.2500 0.1250
I1 0.0000 0.0000 0.5000

Record 3
Computed powder diffraction line list
Compound: MnFeNi
Radiation: Cu Ka
Structure: a crystal structure in Alexandria, relaxed with GGA-PBE
Kinematic intensities with the Lorentz-polarization factor, no thermal factor.

The 7 most intense peaks (2θ from 15° to 90°), sorted by position:
27.7 deg, 3.220 Å, I 1, hkl 0 1 1
44.0 deg, 2.059 Å, I 100, hkl 0 1 3
44.2 deg, 2.048 Å, I 98, hkl 1 1 0
51.4 deg, 1.779 Å, I 92, hkl 1 0 3
75.3 deg, 1.262 Å, I 9, hkl 0 0 6
75.6 deg, 1.258 Å, I 35, hkl 1 2 3
76.0 deg, 1.253 Å, I 9, hkl 2 0 0

Cell: 2.5055 3.5578 7.5741 Å, 90.00 90.00 90.00°
Space group Imm2 (No. 44)
Asymmetric unit:
Mn1 0.0000 0.0000 0.0000
Fe1 0.0000 0.0000 0.3340
Ni1 0.0000 0.0000 0.6675

Record 4
Computed powder diffraction line list
Compound: InCu6Ge
Radiation: Cu Ka
Structure: a crystal structure in Alexandria, relaxed with GGA-PBE
Kinematic intensities with the Lorentz-polarization factor, no thermal factor.

The 12 most intense peaks (2θ from 15° to 90°), sorted by position:
18.8 deg, 4.726 Å, I 2, hkl 1 0 0
28.3 deg, 3.158 Å, I 5, hkl 1 0 1
38.1 deg, 2.363 Å, I 26, hkl 2 0 0
42.6 deg, 2.122 Å, I 24, hkl 0 0 2
43.9 deg, 2.065 Å, I 100, hkl 2 0 1
51.1 deg, 1.786 Å, I 1, hkl 2 1 0
58.5 deg, 1.579 Å, I 14, hkl 2 0 2
68.8 deg, 1.364 Å, I 16, hkl 2 2 0
78.9 deg, 1.214 Å, I 16, hkl 2 0 3
81.5 deg, 1.181 Å, I 2, hkl 4 0 0
84.4 deg, 1.148 Å, I 17, hkl 2 2 2
85.3 deg, 1.138 Å, I 13, hkl 4 0 1

Cell: 5.4571 5.4571 4.2436 Å, 90.00 90.00 120.00°
Space group P-6m2 (No. 187)
Asymmetric unit:
In1 0.0000 0.0000 0.0000
Cu1 0.3527 0.1763 0.5000
Cu2 0.5024 0.0049 0.0000
Ge1 0.3333 0.6667 0.5000

Record 5
Computed powder diffraction line list
Compound: Y5Sc4Tl4
Radiation: Cu Ka
Structure: a crystal structure in Alexandria, relaxed with GGA-PBE
Kinematic intensities with the Lorentz-polarization factor, no thermal factor.

The 12 most intense peaks (2θ from 15° to 90°), sorted by position:
20.0 deg, 4.450 Å, I 19, hkl 1 0 1
20.6 deg, 4.320 Å, I 18, hkl 2 2 0
23.0 deg, 3.864 Å, I 38, hkl 3 1 0
24.8 deg, 3.597 Å, I 52, hkl 2 1 1
32.4 deg, 2.764 Å, I 100, hkl 3 2 1
32.8 deg, 2.732 Å, I 34, hkl 4 2 0
35.7 deg, 2.518 Å, I 74, hkl 1 4 1
37.6 deg, 2.389 Å, I 35, hkl 0 0 2
43.2 deg, 2.095 Å, I 21, hkl 5 3 0
44.5 deg, 2.034 Å, I 29, hkl 6 0 0
50.8 deg, 1.798 Å, I 20, hkl 4 2 2
64.7 deg, 1.441 Å, I 19, hkl 6 6 0

Cell: 12.2180 12.2180 4.7784 Å, 90.00 90.00 90.00°
Space group I4/m (No. 87)
Asymmetric unit:
Y1 0.0000 0.0000 0.0000
Y2 0.1139 0.8061 0.5000
Sc1 0.0824 0.4025 0.5000
Tl1 0.0797 0.2465 0.0000

Record 6
Computed powder diffraction line list
Compound: Ba3Li2
Radiation: Cu Ka
Structure: a crystal structure in Alexandria, relaxed with GGA-PBE
Kinematic intensities with the Lorentz-polarization factor, no thermal factor.

The 12 most intense peaks (2θ from 15° to 90°), sorted by position:
20.4 deg, 4.346 Å, I 100, hkl 0 1 1
29.1 deg, 3.073 Å, I 93, hkl 1 1 0
35.7 deg, 2.516 Å, I 8, hkl 0 0 3
35.8 deg, 2.507 Å, I 24, hkl 2 0 1
41.6 deg, 2.173 Å, I 17, hkl 0 2 2
46.7 deg, 1.946 Å, I 22, hkl 1 1 3
46.8 deg, 1.941 Å, I 22, hkl 1 2 1
51.4 deg, 1.778 Å, I 9, hkl 0 1 4
51.6 deg, 1.773 Å, I 28, hkl 3 0 0
64.4 deg, 1.448 Å, I 17, hkl 3 1 1
72.1 deg, 1.309 Å, I 9, hkl 0 4 1
83.3 deg, 1.160 Å, I 10, hkl 4 1 0

Cell: 6.1368 6.1368 7.5481 Å, 90.00 90.00 120.00°
Space group P-3m1 (No. 164)
Asymmetric unit:
Ba1 0.0000 0.0000 0.0000
Ba2 0.3333 0.6667 0.3402
Li1 0.3333 0.6667 0.8572

Record 7
Computed powder diffraction line list
Compound: TlRu5
Radiation: Cu Ka
Structure: a crystal structure in Alexandria, relaxed with GGA-PBE
Kinematic intensities with the Lorentz-polarization factor, no thermal factor.

The 12 most intense peaks (2θ from 15° to 90°), sorted by position:
31.6 deg, 2.828 Å, I 10, hkl 1 0 4
36.4 deg, 2.469 Å, I 11, hkl 0 0 6
36.6 deg, 2.458 Å, I 28, hkl 0 1 3
41.2 deg, 2.191 Å, I 37, hkl 2 0 0
42.0 deg, 2.151 Å, I 50, hkl 1 0 6
42.2 deg, 2.144 Å, I 100, hkl 1 1 3
56.2 deg, 1.635 Å, I 16, hkl 2 1 3
65.6 deg, 1.423 Å, I 15, hkl 0 1 9
75.8 deg, 1.256 Å, I 17, hkl 3 1 3
80.5 deg, 1.194 Å, I 17, hkl 2 1 9
80.8 deg, 1.190 Å, I 10, hkl 2 2 0
81.3 deg, 1.183 Å, I 14, hkl 1 2 6

Cell: 4.3819 2.8338 14.8134 Å, 90.00 90.00 90.00°
Space group Amm2 (No. 38)
Asymmetric unit:
Tl1 0.0000 0.0000 0.0000
Ru1 0.0000 0.0000 0.3205
Ru2 0.0000 0.0000 0.6753
Ru3 0.5000 0.0000 0.1180
Ru4 0.5000 0.0000 0.4303
Ru5 0.5000 0.0000 0.7757

Record 8
Computed powder diffraction line list
Compound: ZrGaP
Radiation: Cu Ka
Structure: a crystal structure in Alexandria, relaxed with GGA-PBE
Kinematic intensities with the Lorentz-polarization factor, no thermal factor.

The 12 most intense peaks (2θ from 15° to 90°), sorted by position:
25.2 deg, 3.538 Å, I 18, hkl 0 1 1
33.4 deg, 2.681 Å, I 28, hkl 1 0 4
35.6 deg, 2.524 Å, I 18, hkl 0 0 6
38.6 deg, 2.330 Å, I 100, hkl 1 1 3
47.9 deg, 1.898 Å, I 15, hkl 2 0 0
49.0 deg, 1.859 Å, I 15, hkl 0 1 7
50.1 deg, 1.819 Å, I 13, hkl 0 2 0
61.6 deg, 1.505 Å, I 9, hkl 1 2 4
71.0 deg, 1.328 Å, I 10, hkl 2 1 7
71.9 deg, 1.313 Å, I 9, hkl 2 2 0
83.0 deg, 1.163 Å, I 10, hkl 3 1 3
86.4 deg, 1.126 Å, I 9, hkl 1 3 3

Cell: 3.7965 3.6384 15.1431 Å, 90.00 90.00 90.00°
Space group Amm2 (No. 38)
Asymmetric unit:
Zr1 0.0000 0.0000 0.0000
Zr2 0.0000 0.0000 0.2870
Ga1 0.5000 0.0000 0.1439
Ga2 0.5000 0.0000 0.8329
P1 0.0000 0.0000 0.6433
P2 0.5000 0.0000 0.4440

Record 9
Computed powder diffraction line list
Compound: Li2AgBi
Radiation: Cu Ka
Structure: a crystal structure in Alexandria, relaxed with GGA-PBE
Kinematic intensities with the Lorentz-polarization factor, no thermal factor.

The 12 most intense peaks (2θ from 15° to 90°), sorted by position:
22.9 deg, 3.886 Å, I 16, hkl 1 1 1
26.5 deg, 3.365 Å, I 100, hkl 2 0 0
37.8 deg, 2.380 Å, I 90, hkl 2 2 0
44.7 deg, 2.029 Å, I 10, hkl 3 1 1
46.8 deg, 1.943 Å, I 29, hkl 2 2 2
54.5 deg, 1.683 Å, I 16, hkl 4 0 0
59.9 deg, 1.544 Å, I 5, hkl 3 3 1
61.6 deg, 1.505 Å, I 38, hkl 4 2 0
68.3 deg, 1.374 Å, I 32, hkl 4 2 2
80.8 deg, 1.190 Å, I 10, hkl 4 4 0
85.3 deg, 1.138 Å, I 4, hkl 5 3 1
86.8 deg, 1.122 Å, I 19, hkl 6 0 0

Cell: 6.7306 6.7306 6.7306 Å, 90.00 90.00 90.00°
Space group Fm-3m (No. 225)
Asymmetric unit:
Li1 0.2500 0.2500 0.2500
Ag1 0.0000 0.0000 0.0000
Bi1 0.0000 0.0000 0.5000

Record 10
Computed powder diffraction line list
Compound: CrCuAg2
Radiation: Cu Ka
Structure: a crystal structure in Alexandria, relaxed with GGA-PBE
Kinematic intensities with the Lorentz-polarization factor, no thermal factor.

The 12 most intense peaks (2θ from 15° to 90°), sorted by position:
19.0 deg, 4.667 Å, I 29, hkl 0 2 0
37.7 deg, 2.387 Å, I 61, hkl 2 0 -1
38.6 deg, 2.334 Å, I 57, hkl 0 4 0
40.3 deg, 2.236 Å, I 100, hkl 0 2 1
41.2 deg, 2.190 Å, I 94, hkl 2 2 0
55.0 deg, 1.669 Å, I 38, hkl 2 4 -1
62.9 deg, 1.478 Å, I 12, hkl 2 0 1
69.2 deg, 1.358 Å, I 18, hkl 2 2 -2
71.0 deg, 1.327 Å, I 34, hkl 0 6 1
71.6 deg, 1.318 Å, I 16, hkl 2 6 0
76.3 deg, 1.248 Å, I 14, hkl 2 4 1
87.2 deg, 1.118 Å, I 10, hkl 0 4 2

Cell: 5.5419 9.3341 2.8460 Å, 90.00 116.50 90.00°
Space group C2/m (No. 12)
Asymmetric unit:
Cr1 0.0000 0.0000 0.0000
Cu1 0.0000 0.5000 0.0000
Ag1 0.2500 0.2500 0.5000

Record 11
Computed powder diffraction line list
Compound: Na2Sr4Ga
Radiation: Cu Ka
Structure: a crystal structure in Alexandria, relaxed with GGA-PBE
Kinematic intensities with the Lorentz-polarization factor, no thermal factor.

The 12 most intense peaks (2θ from 15° to 90°), sorted by position:
15.1 deg, 5.870 Å, I 69, hkl 1 0 1
22.4 deg, 3.962 Å, I 63, hkl 1 1 2
27.8 deg, 3.212 Å, I 34, hkl 1 0 5
27.9 deg, 3.200 Å, I 56, hkl 1 1 4
28.5 deg, 3.134 Å, I 44, hkl 0 0 6
28.9 deg, 3.089 Å, I 100, hkl 2 0 0
40.5 deg, 2.227 Å, I 25, hkl 2 1 5
41.0 deg, 2.200 Å, I 65, hkl 2 0 6
41.3 deg, 2.184 Å, I 37, hkl 2 2 0
50.6 deg, 1.805 Å, I 27, hkl 3 1 4
51.0 deg, 1.792 Å, I 34, hkl 2 2 6
75.2 deg, 1.264 Å, I 21, hkl 4 2 6

Cell: 6.1785 6.1785 18.8026 Å, 90.00 90.00 90.00°
Space group I4/mmm (No. 139)
Asymmetric unit:
Na1 0.0000 0.0000 0.1318
Sr1 0.0000 0.0000 0.3335
Sr2 0.0000 0.5000 0.0000
Ga1 0.0000 0.0000 0.5000

Record 12
Computed powder diffraction line list
Compound: KPuAg2F6
Radiation: Cu Ka
Structure: a crystal structure in Alexandria, relaxed with GGA-PBE
Kinematic intensities with the Lorentz-polarization factor, no thermal factor.

The 12 most intense peaks (2θ from 15° to 90°), sorted by position:
16.8 deg, 5.268 Å, I 100, hkl 0 1 0
27.2 deg, 3.276 Å, I 58, hkl 1 0 -1
27.3 deg, 3.265 Å, I 29, hkl 1 1 2
27.7 deg, 3.217 Å, I 94, hkl 2 1 1
32.0 deg, 2.797 Å, I 42, hkl 0 1 2
32.6 deg, 2.746 Å, I 13, hkl 2 0 1
39.3 deg, 2.294 Å, I 38, hkl 2 2 0
42.8 deg, 2.114 Å, I 17, hkl 0 2 -1
48.7 deg, 1.870 Å, I 26, hkl 3 1 0
49.0 deg, 1.859 Å, I 22, hkl 0 3 1
51.8 deg, 1.766 Å, I 18, hkl 2 -1 2
58.8 deg, 1.570 Å, I 13, hkl -1 1 3

Cell: 6.4288 6.4296 6.5319 Å, 60.72 60.77 60.17°
Space group P1 (No. 1)
Asymmetric unit:
K1 0.0000 0.0000 0.0000
Pu1 0.5002 0.5002 0.4999
Ag1 0.2808 0.2825 0.1546
Ag2 0.7197 0.7176 0.8443
F1 0.1342 0.4128 0.7587
F2 0.3038 0.8662 0.2444
F3 0.4125 0.6968 0.7573
F4 0.5872 0.3050 0.2415
F5 0.6963 0.1334 0.7554
F6 0.8663 0.5870 0.2446